1.
Structure and simulated powder diffraction line list of ErMgZn10 (a DFT-relaxed cell (PBE, Alexandria); CuKα).

Atomic structure:
```
data_ErMgZn10
_cell_length_a 4.260
_cell_length_b 5.204
_cell_length_c 9.106
_cell_angle_alpha 90.00
_cell_angle_beta 90.00
_cell_angle_gamma 90.00
_space_group_name_H-M_alt 'P m m m'
_space_group_IT_number 47
loop_
_space_group_symop_operation_xyz
'x,y,z'
'-x,-y,-z'
'-x,-y,z'
'x,y,-z'
'x,-y,-z'
'-x,y,z'
'-x,y,-z'
'x,-y,z'
loop_
_atom_site_label
_atom_site_fract_x
_atom_site_fract_y
_atom_site_fract_z
Er1 0.000 0.000 0.000
Mg1 0.000 0.500 0.500
Zn1 0.000 0.000 0.342
Zn2 0.000 0.500 0.180
Zn3 0.500 0.000 0.500
Zn4 0.500 0.243 0.241
Zn5 0.500 0.500 0.000
```

Peak list (10 most intense, 15° ≤ 2θ ≤ 90°, in order of falling intensity)
| hkl | 2θ (°) | I/Imax |
| --- | --- | --- |
| 1 1 3 | 40.4 | 100 |
| 1 2 0 | 40.6 | 50 |
| 2 0 0 | 42.4 | 47 |
| 0 2 2 | 39.9 | 30 |
| 1 2 2 | 45.4 | 27 |
| 1 1 1 | 28.8 | 25 |
| 0 1 3 | 34.2 | 22 |
| 1 3 3 | 65.8 | 22 |
| 2 2 6 | 87.3 | 20 |
| 2 2 2 | 59.7 | 18 |


2.
Structure and simulated powder diffraction line list of LiZn6Ag8 (a DFT-relaxed cell (PBE, Alexandria); CuKα).

Atomic structure:
```
data_LiZn6Ag8
_cell_length_a 8.2150
_cell_length_b 8.2150
_cell_length_c 4.7190
_cell_angle_alpha 90.00
_cell_angle_beta 90.00
_cell_angle_gamma 120.00
_space_group_name_H-M_alt 'P -3'
_space_group_IT_number 147
loop_
_space_group_symop_operation_xyz
'x,y,z'
'-x,-y,-z'
'-y,x-y,z'
'y,-x+y,-z'
'-x+y,-x,z'
'x-y,x,-z'
loop_
_atom_site_label
_atom_site_fract_x
_atom_site_fract_y
_atom_site_fract_z
Li1 0.0000 0.0000 0.0000
Zn1 0.1340 0.4681 0.9019
Ag1 0.0160 0.6936 0.6074
Ag2 0.3333 0.6667 0.3823
```

Peak list (10 most intense, 15° ≤ 2θ ≤ 90°, in order of falling intensity)
| hkl | 2θ (°) | I/Imax |
| --- | --- | --- |
| 0 3 1 | 42.7 | 100 |
| 1 2 1 | 38.5 | 96 |
| 2 -1 2 | 44.3 | 91 |
| 3 0 0 | 37.9 | 79 |
| 2 0 1 | 31.5 | 38 |
| 2 -1 1 | 28.8 | 38 |
| 4 -2 1 | 48.3 | 35 |
| 0 0 1 | 18.8 | 30 |
| 0 1 2 | 40.3 | 28 |
| 3 3 1 | 71.8 | 22 |